1.
For Li4Al2CuAu, a cell relaxed with GGA-PBE gives the theoretical PXRD pattern in this record (Cu Kα (λ = 1.5418 Å)).
Lines closer than 0.1° are merged.

Main lines, in order of rising 2θ (2θ from 10° to 80°):
- 14.55°, rel. 190
- 20.58°, rel. 191
- 25.30°, rel. 1000
- 29.30°, rel. 346
- 32.83°, rel. 134
- 36.12°, rel. 98
- 41.91°, rel. 682
- 49.59°, rel. 488
- 51.95°, rel. 96
- 66.89°, rel. 197
- 68.82°, rel. 82
- 76.51°, rel. 152

Cell and atoms:
```
data_Li4Al2CuAu
_chemical_formula_sum 'Li4 Al2 Cu1 Au1'
_space_group_name_H-M_alt 'P -4 m 2'
_space_group_IT_number 115
_space_group_name_Hall 'P -4 -2'
_cell_length_a 4.3151
_cell_length_b 4.3151
_cell_length_c 6.0867
_cell_angle_alpha 90.00
_cell_angle_beta 90.00
_cell_angle_gamma 90.00
loop_
_atom_site_label
_atom_site_fract_x
_atom_site_fract_y
_atom_site_fract_z
Li1 0.0000 0.0000 0.0000
Li2 0.0000 0.5000 0.7429
Li3 0.5000 0.5000 0.5000
Al1 0.0000 0.5000 0.2609
Cu1 0.0000 0.0000 0.5000
Au1 0.5000 0.5000 0.0000
```

---

2.
For Hf3Cu4As4, a cell relaxed with GGA-PBE gives the theoretical PXRD pattern in this record (Cu Kα (λ = 1.5418 Å)).
Lines closer than 0.1° are merged.

Main lines, in order of rising 2θ (2θ from 10° to 80°):
- 11.55°, rel. 439
- 13.74°, rel. 323
- 35.61°, rel. 755
- 36.58°, rel. 1000
- 38.02°, rel. 870
- 38.57°, rel. 306
- 38.93°, rel. 710
- 42.65°, rel. 512
- 44.41°, rel. 290
- 47.45°, rel. 251
- 47.90°, rel. 576
- 49.71°, rel. 262

Cell and atoms:
```
data_Hf3Cu4As4
_chemical_formula_sum 'Hf3 Cu4 As4'
_space_group_name_H-M_alt 'P 1 m 1'
_space_group_IT_number 6
_space_group_name_Hall 'P -2y'
_cell_length_a 6.4512
_cell_length_b 3.7980
_cell_length_c 7.6745
_cell_angle_alpha 90.00
_cell_angle_beta 92.93
_cell_angle_gamma 90.00
loop_
_atom_site_label
_atom_site_fract_x
_atom_site_fract_y
_atom_site_fract_z
Hf1 0.0000 0.0000 0.0000
Hf2 0.0592 0.5000 0.3479
Hf3 0.4891 0.0000 0.8636
Cu1 0.1551 0.5000 0.7317
Cu2 0.3782 0.0000 0.2575
Cu3 0.6962 0.5000 0.1128
Cu4 0.8992 0.0000 0.6116
As1 0.2859 0.0000 0.5600
As2 0.3013 0.5000 0.0588
As3 0.7558 0.0000 0.3088
As4 0.7767 0.5000 0.7885
```

---

3.
For Sr2MgZr, a cell relaxed with GGA-PBE gives the theoretical PXRD pattern in this record (Cu Kα (λ = 1.5418 Å)).
Lines closer than 0.1° are merged.

Main lines, in order of rising 2θ (2θ from 10° to 80°):
- 19.04°, rel. 100
- 22.02°, rel. 64
- 31.34°, rel. 1000
- 36.93°, rel. 58
- 38.63°, rel. 19
- 44.91°, rel. 181
- 49.19°, rel. 25
- 50.56°, rel. 26
- 55.78°, rel. 376
- 59.49°, rel. 19
- 65.39°, rel. 116
- 74.30°, rel. 159

Cell and atoms:
```
data_Sr2MgZr
_chemical_formula_sum 'Sr8 Mg4 Zr4'
_space_group_name_H-M_alt 'F -4 3 m'
_space_group_IT_number 216
_space_group_name_Hall 'F -4 2 3'
_cell_length_a 8.0737
_cell_length_b 8.0737
_cell_length_c 8.0737
_cell_angle_alpha 90.00
_cell_angle_beta 90.00
_cell_angle_gamma 90.00
loop_
_atom_site_label
_atom_site_fract_x
_atom_site_fract_y
_atom_site_fract_z
Sr1 0.0000 0.0000 0.0000
Sr2 0.2500 0.2500 0.2500
Mg1 0.2500 0.2500 0.7500
Zr1 0.0000 0.0000 0.5000
```

---

4.
For K2Ta2Se5, a cell relaxed with GGA-PBE gives the theoretical PXRD pattern in this record (Cu Kα (λ = 1.5418 Å)).
Lines closer than 0.1° are merged.

Main lines, in order of rising 2θ (2θ from 10° to 80°):
- 14.14°, rel. 273
- 14.62°, rel. 1000
- 14.93°, rel. 675
- 17.28°, rel. 201
- 24.10°, rel. 234
- 27.73°, rel. 340
- 30.67°, rel. 313
- 30.95°, rel. 473
- 39.09°, rel. 285
- 43.37°, rel. 213
- 45.27°, rel. 231
- 49.33°, rel. 217

Cell and atoms:
```
data_K2Ta2Se5
_chemical_formula_sum 'K8 Ta8 Se20'
_space_group_name_H-M_alt 'C 1 2/c 1'
_space_group_IT_number 15
_space_group_name_Hall '-C 2yc'
_cell_length_a 10.5395
_cell_length_b 8.0382
_cell_length_c 12.5145
_cell_angle_alpha 90.00
_cell_angle_beta 108.53
_cell_angle_gamma 90.00
loop_
_atom_site_label
_atom_site_fract_x
_atom_site_fract_y
_atom_site_fract_z
K1 0.2157 0.1612 0.3123
Ta1 0.1106 0.3190 0.9540
Se1 0.0000 0.2076 0.7500
Se2 0.0253 0.3871 0.1148
Se3 0.1798 0.0296 0.0338
```

---

5.
For Al6GePt, a cell relaxed with GGA-PBE gives the theoretical PXRD pattern in this record (Cu Kα (λ = 1.5418 Å)).
Lines closer than 0.1° are merged.

Main lines, in order of rising 2θ (2θ from 10° to 80°):
- 17.63°, rel. 1000
- 20.39°, rel. 528
- 28.99°, rel. 696
- 34.13°, rel. 866
- 41.46°, rel. 478
- 45.38°, rel. 534
- 46.62°, rel. 206
- 51.38°, rel. 259
- 54.75°, rel. 248
- 60.08°, rel. 299
- 63.14°, rel. 221
- 68.06°, rel. 156

Cell and atoms:
```
data_Al6GePt
_chemical_formula_sum 'Al24 Ge4 Pt4'
_space_group_name_H-M_alt 'F -4 3 m'
_space_group_IT_number 216
_space_group_name_Hall 'F -4 2 3'
_cell_length_a 8.7120
_cell_length_b 8.7120
_cell_length_c 8.7120
_cell_angle_alpha 90.00
_cell_angle_beta 90.00
_cell_angle_gamma 90.00
loop_
_atom_site_label
_atom_site_fract_x
_atom_site_fract_y
_atom_site_fract_z
Al1 0.0000 0.0000 0.2213
Ge1 0.2500 0.2500 0.2500
Pt1 0.0000 0.0000 0.5000
```

---

6.
For CsDy2CuTe4, a cell relaxed with GGA-PBE gives the theoretical PXRD pattern in this record (Cu Kα (λ = 1.5418 Å)).
Lines closer than 0.1° are merged.

Main lines, in order of rising 2θ (2θ from 10° to 80°):
- 12.71°, rel. 245
- 20.60°, rel. 242
- 25.63°, rel. 513
- 26.42°, rel. 186
- 27.05°, rel. 1000
- 28.86°, rel. 854
- 31.00°, rel. 179
- 34.66°, rel. 201
- 35.75°, rel. 325
- 38.78°, rel. 230
- 39.40°, rel. 768
- 40.71°, rel. 502

Cell and atoms:
```
data_CsDy2CuTe4
_chemical_formula_sum 'Cs4 Dy8 Cu4 Te16'
_space_group_name_H-M_alt 'C m c m'
_space_group_IT_number 63
_space_group_name_Hall '-C 2c 2'
_cell_length_a 4.4344
_cell_length_b 15.5888
_cell_length_c 15.5282
_cell_angle_alpha 90.00
_cell_angle_beta 90.00
_cell_angle_gamma 90.00
loop_
_atom_site_label
_atom_site_fract_x
_atom_site_fract_y
_atom_site_fract_z
Cs1 0.0000 0.1097 0.2500
Dy1 0.0000 0.3668 0.0632
Cu1 0.0000 0.1645 0.7500
Te1 0.0000 0.0000 0.0000
Te2 0.0000 0.2602 0.6080
Te3 0.0000 0.4259 0.2500
```

---

7.
For LiTaSeO, a cell relaxed with GGA-PBE gives the theoretical PXRD pattern in this record (Cu Kα (λ = 1.5418 Å)).
Lines closer than 0.1° are merged.

Main lines, in order of rising 2θ (2θ from 10° to 80°):
- 13.90°, rel. 1000
- 32.78°, rel. 235
- 33.55°, rel. 123
- 35.76°, rel. 677
- 42.57°, rel. 99
- 43.65°, rel. 601
- 54.75°, rel. 166
- 58.52°, rel. 189
- 60.46°, rel. 138
- 70.50°, rel. 96
- 75.01°, rel. 116
- 75.77°, rel. 117

Cell and atoms:
```
data_LiTaSeO
_chemical_formula_sum 'Li2 Ta2 Se2 O2'
_space_group_name_H-M_alt 'P 63 m c'
_space_group_IT_number 186
_space_group_name_Hall 'P 6c -2c'
_cell_length_a 3.1547
_cell_length_b 3.1547
_cell_length_c 12.7421
_cell_angle_alpha 90.00
_cell_angle_beta 90.00
_cell_angle_gamma 120.00
loop_
_atom_site_label
_atom_site_fract_x
_atom_site_fract_y
_atom_site_fract_z
Li1 0.0000 0.0000 0.0000
Ta1 0.0000 0.0000 0.2094
Se1 0.3333 0.6667 0.3487
O1 0.3333 0.6667 0.1054
```

---

8.
For Nd2YMg3Pt3, a cell relaxed with GGA-PBE gives the theoretical PXRD pattern in this record (Cu Kα (λ = 1.5418 Å)).
Lines closer than 0.1° are merged.

Main lines, in order of rising 2θ (2θ from 10° to 80°):
- 23.77°, rel. 622
- 25.65°, rel. 396
- 32.34°, rel. 587
- 35.25°, rel. 1000
- 36.68°, rel. 128
- 41.81°, rel. 411
- 42.97°, rel. 422
- 44.03°, rel. 227
- 50.66°, rel. 205
- 62.33°, rel. 255
- 66.86°, rel. 184
- 67.70°, rel. 132

Cell and atoms:
```
data_Nd2YMg3Pt3
_chemical_formula_sum 'Nd4 Y2 Mg6 Pt6'
_space_group_name_H-M_alt 'A m m 2'
_space_group_IT_number 38
_space_group_name_Hall 'A 2 -2'
_cell_length_a 4.1132
_cell_length_b 12.9825
_cell_length_c 7.4742
_cell_angle_alpha 90.00
_cell_angle_beta 90.00
_cell_angle_gamma 90.00
loop_
_atom_site_label
_atom_site_fract_x
_atom_site_fract_y
_atom_site_fract_z
Nd1 0.0000 0.2065 0.0000
Y1 0.0000 0.0000 0.6141
Mg1 0.5000 0.0000 0.9609
Mg2 0.5000 0.1198 0.3287
Pt1 0.0000 0.0000 0.2102
Pt2 0.5000 0.1632 0.7042
```